# 1
Al2Fe4Si3: computed X-ray diffraction stick pattern (Cu Kα, 1.54184 Å), based on a PBE-relaxed structure.
Kinematic intensities with the Lorentz-polarization factor, no thermal factor.

Main lines, low angle first (15° ≤ 2θ ≤ 90°):
- 23.02 deg, rel. 17
- 37.09 deg, rel. 18
- 37.28 deg, rel. 51
- 37.76 deg, rel. 40
- 39.77 deg, rel. 17
- 44.16 deg, rel. 100
- 45.41 deg, rel. 72
- 46.53 deg, rel. 24
- 47.20 deg, rel. 31
- 49.72 deg, rel. 50
- 49.91 deg, rel. 20
- 55.42 deg, rel. 18

a b c (Å): 3.6672 12.7922 9.6960
angles (deg): 90.00 90.00 90.00
Space group Cmcm (No. 63)
One atom of each set of equivalent atoms:
1 Al 0.0000 0.0572 0.1110 x8
2 Fe 0.0000 0.2461 0.2500 x4
3 Fe 0.0000 0.3161 0.5184 x8
4 Fe 0.0000 0.4432 0.2500 x4
5 Si 0.0000 0.1486 0.6251 x8
6 Si 0.0000 0.3662 0.7500 x4

# 2
Al3Fe2Si4: computed X-ray diffraction stick pattern (Cu Kα, 1.54184 Å), based on a PBE-relaxed structure.
Kinematic intensities with the Lorentz-polarization factor, no thermal factor.

Main lines, low angle first (15° ≤ 2θ ≤ 90°):
- 23.99 deg, rel. 24
- 31.35 deg, rel. 32
- 37.72 deg, rel. 35
- 44.01 deg, rel. 52
- 44.15 deg, rel. 100
- 44.57 deg, rel. 93
- 47.06 deg, rel. 62
- 49.66 deg, rel. 43
- 52.82 deg, rel. 22
- 67.08 deg, rel. 21
- 77.57 deg, rel. 35
- 85.97 deg, rel. 34

a b c (Å): 2.7906 14.8371 12.3625
angles (deg): 90.00 90.00 90.00
Space group Cmcm (No. 63)
One atom of each set of equivalent atoms:
1 Al 0.0000 0.0682 0.0749 x8
2 Al 0.0000 0.3076 0.2500 x4
3 Fe 0.0000 0.0892 0.6357 x8
4 Si 0.0000 0.3153 0.0353 x8
5 Si 0.0000 0.3457 0.7500 x4
6 Si 0.0000 0.4914 0.2500 x4

# 3
Al3Fe4Si2: computed X-ray diffraction stick pattern (Cu Kα, 1.54184 Å), based on a PBE-relaxed structure.
Kinematic intensities with the Lorentz-polarization factor, no thermal factor.

Main lines, low angle first (15° ≤ 2θ ≤ 90°):
- 22.59 deg, rel. 62
- 31.21 deg, rel. 23
- 31.61 deg, rel. 31
- 36.71 deg, rel. 30
- 37.55 deg, rel. 20
- 42.94 deg, rel. 79
- 44.84 deg, rel. 31
- 45.14 deg, rel. 100
- 46.01 deg, rel. 85
- 49.32 deg, rel. 28
- 49.66 deg, rel. 80
- 72.87 deg, rel. 28

a b c (Å): 3.6732 13.3247 9.7546
angles (deg): 90.00 90.00 90.00
Space group Cmcm (No. 63)
One atom of each set of equivalent atoms:
1 Al 0.0000 0.0538 0.1154 x8
2 Al 0.0000 0.2387 0.2500 x4
3 Fe 0.0000 0.3105 0.5210 x8
4 Fe 0.0000 0.3827 0.7500 x4
5 Fe 0.0000 0.4280 0.2500 x4
6 Si 0.0000 0.1414 0.6204 x8

# 4
UAl3Fe7Si2: computed X-ray diffraction stick pattern (Cu Kα, 1.54184 Å), based on a PBE-relaxed structure.
Kinematic intensities with the Lorentz-polarization factor, no thermal factor.

Main lines, low angle first (15° ≤ 2θ ≤ 90°):
- 30.08 deg, rel. 42
- 30.23 deg, rel. 49
- 30.31 deg, rel. 38
- 30.46 deg, rel. 44
- 36.92 deg, rel. 37
- 37.49 deg, rel. 35
- 42.56 deg, rel. 54
- 42.87 deg, rel. 45
- 43.17 deg, rel. 100
- 43.47 deg, rel. 95
- 43.56 deg, rel. 56
- 43.78 deg, rel. 45

a b c (Å): 11.8430 4.7643 8.3302
angles (deg): 90.00 134.15 90.00
Space group Cm (No. 8)
One atom of each set of equivalent atoms:
1 U 0.0000 0.0000 0.0000 x2
2 Al 0.0091 0.0000 0.3790 x2
3 Al 0.1488 0.5000 0.6469 x2
4 Al 0.3540 0.0000 0.3713 x2
5 Fe 0.0017 0.5000 0.7951 x2
6 Fe 0.0030 0.0000 0.6722 x2
7 Fe 0.2242 0.5000 0.2251 x2
8 Fe 0.2469 0.2510 0.5004 x4
9 Fe 0.2831 0.0000 0.7903 x2
10 Fe 0.4948 0.0000 0.2270 x2
11 Si 0.2484 0.2483 0.0028 x4

# 5
U6Al8Fe5Si9: computed X-ray diffraction stick pattern (Cu Kα, 1.54184 Å), based on a PBE-relaxed structure.
Kinematic intensities with the Lorentz-polarization factor, no thermal factor.

Main lines, low angle first (15° ≤ 2θ ≤ 90°):
- 19.62 deg, rel. 42
- 22.34 deg, rel. 35
- 22.45 deg, rel. 38
- 26.41 deg, rel. 54
- 31.08 deg, rel. 56
- 33.12 deg, rel. 48
- 37.02 deg, rel. 100
- 39.85 deg, rel. 26
- 41.37 deg, rel. 47
- 44.42 deg, rel. 27
- 44.64 deg, rel. 17
- 70.49 deg, rel. 18

a b c (Å): 4.0791 12.1786 18.1003
angles (deg): 90.00 90.00 90.00
Space group Immm (No. 71)
One atom of each set of equivalent atoms:
1 U 0.0000 0.0000 0.1277 x4
2 U 0.0000 0.3138 0.1255 x8
3 Al 0.0000 0.0000 0.3837 x4
4 Al 0.0000 0.1503 0.0000 x4
5 Al 0.0000 0.1639 0.5000 x4
6 Al 0.0000 0.5000 0.2357 x4
7 Fe 0.0000 0.3144 0.2864 x8
8 Fe 0.0000 0.5000 0.5000 x2
9 Si 0.0000 0.1302 0.2612 x8
10 Si 0.0000 0.3452 0.4118 x8
11 Si 0.0000 0.5000 0.0000 x2

Which formula does entry 3 have?
Al3Fe4Si2